(1)
This entry pairs a crystal structure of KMoPSe5 with its calculated PXRD pattern. Radiation: Cu Kα, 1.54184 Å. Structure: a cell relaxed with PBE.
Lines closer than 0.1° are merged.

Structural model:
a b c (Å): 19.239 7.050 6.932
angles (deg): 90.00 99.55 90.00
Space group C2/m (No. 12)
One atom of each set of equivalent atoms:
K1 0.238 0.000 0.233 (multiplicity 4)
Mo1 0.000 0.192 0.000 (multiplicity 4)
P1 0.133 0.500 0.206 (multiplicity 4)
Se1 0.075 0.000 0.822 (multiplicity 4)
Se2 0.077 0.500 0.892 (multiplicity 4)
Se3 0.086 0.242 0.324 (multiplicity 8)
Se4 0.248 0.500 0.253 (multiplicity 4)

Largest 10 diffraction maxima, sorted by position, 2θ from 5° to 70°:
2θ = 9.32°, I = 100, hkl 2 0 0; 2θ = 12.95°, I = 47, hkl 0 0 1; 2θ = 14.66°, I = 64, hkl 2 0 -1; 2θ = 26.98°, I = 29, hkl 2 2 0; 2θ = 28.22°, I = 41, hkl 6 0 0; 2θ = 29.20°, I = 48, hkl 2 0 2; 2θ = 30.73°, I = 25, hkl 2 2 1; 2θ = 33.05°, I = 89, hkl 4 2 -1; 2θ = 42.06°, I = 30, hkl 6 0 2; 2θ = 47.51°, I = 27, hkl 0 2 3

***

(2)
This entry pairs a crystal structure of KRbTm2Sb2 with its calculated PXRD pattern. Radiation: Cu Kα, 1.54184 Å. Structure: a cell relaxed with PBE.
Lines closer than 0.1° are merged.

Structural model:
a b c (Å): 5.112 5.112 8.675
angles (deg): 90.00 90.00 90.00
Space group P4mm (No. 99)
One atom of each set of equivalent atoms:
K1 0.000 0.000 0.000 (multiplicity 1)
Rb1 0.500 0.500 0.729 (multiplicity 1)
Tm1 0.000 0.500 0.359 (multiplicity 2)
Sb1 0.000 0.000 0.555 (multiplicity 1)
Sb2 0.500 0.500 0.166 (multiplicity 1)

Largest 10 diffraction maxima, sorted by position, 2θ from 5° to 70°:
2θ = 10.20°, I = 100, hkl 0 0 1; 2θ = 26.72°, I = 47, hkl 1 1 1; 2θ = 26.96°, I = 32, hkl 1 0 2; 2θ = 32.24°, I = 72, hkl 1 1 2; 2θ = 35.11°, I = 50, hkl 2 0 0; 2θ = 36.65°, I = 20, hkl 2 0 1; 2θ = 39.92°, I = 28, hkl 1 1 3; 2θ = 44.81°, I = 16, hkl 2 1 2; 2θ = 50.50°, I = 17, hkl 2 2 0; 2θ = 61.19°, I = 23, hkl 3 1 2

***

(3)
This entry pairs a crystal structure of HfScSi2Pd4 with its calculated PXRD pattern. Radiation: Cu Kα, 1.54184 Å. Structure: a cell relaxed with PBE.
Lines closer than 0.1° are merged.

Structural model:
a b c (Å): 7.004 3.751 9.757
angles (deg): 90.00 90.00 90.00
Space group Amm2 (No. 38)
One atom of each set of equivalent atoms:
Hf1 0.000 0.000 0.000 (multiplicity 2)
Sc1 0.500 0.000 0.107 (multiplicity 2)
Si1 0.000 0.000 0.283 (multiplicity 2)
Si2 0.500 0.000 0.823 (multiplicity 2)
Pd1 0.198 0.000 0.693 (multiplicity 4)
Pd2 0.300 0.000 0.414 (multiplicity 4)

Largest 10 diffraction maxima, sorted by position, 2θ from 5° to 70°:
2θ = 12.64°, I = 27, hkl 1 0 0; 2θ = 28.50°, I = 28, hkl 1 1 1; 2θ = 36.28°, I = 100, hkl 2 1 1; 2θ = 36.57°, I = 60, hkl 0 1 3; 2θ = 38.84°, I = 42, hkl 1 1 3; 2θ = 42.95°, I = 38, hkl 3 0 2; 2θ = 45.31°, I = 27, hkl 2 0 4; 2θ = 46.77°, I = 21, hkl 3 1 1; 2θ = 48.54°, I = 28, hkl 0 2 0; 2θ = 67.33°, I = 21, hkl 3 1 5

***

(4)
This entry pairs a crystal structure of K3Tc2O8 with its calculated PXRD pattern. Radiation: Cu Kα, 1.54184 Å. Structure: a cell relaxed with PBE.
Lines closer than 0.1° are merged.

Structural model:
a b c (Å): 5.9115 5.9115 21.1046
angles (deg): 90.00 90.00 120.00
Space group R-3m (No. 166, hexagonal axes)
One atom of each set of equivalent atoms:
K1 0.0000 0.0000 0.0000 (multiplicity 3)
K2 0.0000 0.0000 0.1977 (multiplicity 6)
Tc1 0.0000 0.0000 0.4042 (multiplicity 6)
O1 0.0000 0.0000 0.3208 (multiplicity 6)
O2 0.0103 0.5052 0.2337 (multiplicity 18)

Largest 10 diffraction maxima, sorted by position, 2θ from 5° to 70°:
2θ = 17.83°, I = 51, hkl 1 0 1; 2θ = 24.22°, I = 26, hkl 1 0 4; 2θ = 27.39°, I = 98, hkl 0 1 5; 2θ = 30.24°, I = 100, hkl 1 1 0; 2θ = 41.25°, I = 46, hkl 2 0 5; 2θ = 46.55°, I = 31, hkl 1 0 10; 2θ = 51.99°, I = 31, hkl 1 2 5; 2θ = 53.71°, I = 18, hkl 3 0 0; 2θ = 62.88°, I = 19, hkl 2 2 0; 2θ = 65.44°, I = 21, hkl 2 1 10

***

(5)
This entry pairs a crystal structure of Ta2Cu2SbAsP2 with its calculated PXRD pattern. Radiation: Cu Kα, 1.54184 Å. Structure: a cell relaxed with PBE.
Lines closer than 0.1° are merged.

Structural model:
a b c (Å): 3.780 3.780 8.972
angles (deg): 90.00 90.00 90.00
Space group P-4m2 (No. 115)
One atom of each set of equivalent atoms:
Ta1 0.000 0.500 0.235 (multiplicity 2)
Cu1 0.000 0.000 0.500 (multiplicity 1)
Cu2 0.500 0.500 0.500 (multiplicity 1)
Sb1 0.000 0.000 0.000 (multiplicity 1)
As1 0.500 0.500 0.000 (multiplicity 1)
P1 0.000 0.500 0.680 (multiplicity 2)

Largest 10 diffraction maxima, sorted by position, 2θ from 5° to 70°:
2θ = 25.57°, I = 52, hkl 1 0 1; 2θ = 30.93°, I = 5, hkl 1 0 2; 2θ = 38.38°, I = 22, hkl 1 0 3; 2θ = 39.23°, I = 100, hkl 1 1 2; 2θ = 40.21°, I = 19, hkl 0 0 4; 2θ = 48.14°, I = 30, hkl 2 0 0; 2θ = 55.29°, I = 13, hkl 2 1 1; 2θ = 56.79°, I = 8, hkl 1 0 5; 2θ = 63.18°, I = 10, hkl 2 1 3; 2θ = 64.47°, I = 19, hkl 2 0 4

***

(6)
This entry pairs a crystal structure of YNi3As2 with its calculated PXRD pattern. Radiation: Cu Kα, 1.54184 Å. Structure: a cell relaxed with PBE.
Lines closer than 0.1° are merged.

Structural model:
a b c (Å): 4.0186 4.0186 6.4652
angles (deg): 90.00 90.00 120.00
Space group P-3m1 (No. 164)
One atom of each set of equivalent atoms:
Y1 0.0000 0.0000 0.0000 (multiplicity 1)
Ni1 0.0000 0.0000 0.5000 (multiplicity 1)
Ni2 0.3333 0.6667 0.3358 (multiplicity 2)
As1 0.3333 0.6667 0.7183 (multiplicity 2)

Largest 10 diffraction maxima, sorted by position, 2θ from 5° to 70°:
2θ = 13.70°, I = 16, hkl 0 0 1; 2θ = 29.14°, I = 20, hkl 1 0 1; 2θ = 37.99°, I = 100, hkl 1 0 2; 2θ = 41.92°, I = 11, hkl 0 0 3; 2θ = 45.12°, I = 85, hkl 1 1 0; 2θ = 49.76°, I = 13, hkl 1 0 3; 2θ = 60.42°, I = 24, hkl 0 2 2; 2θ = 63.28°, I = 18, hkl 1 1 3; 2θ = 63.46°, I = 6, hkl 1 0 4; 2θ = 69.42°, I = 5, hkl 0 2 3

***

(7)
This entry pairs a crystal structure of Dy2YZn2Si4Au2 with its calculated PXRD pattern. Radiation: Cu Kα, 1.54184 Å. Structure: a cell relaxed with PBE.
Lines closer than 0.1° are merged.

Structural model:
a b c (Å): 4.033 4.199 25.061
angles (deg): 90.00 90.00 90.00
Space group Immm (No. 71)
One atom of each set of equivalent atoms:
Dy1 0.000 0.000 0.146 (multiplicity 4)
Y1 0.000 0.500 0.000 (multiplicity 2)
Zn1 0.000 0.500 0.251 (multiplicity 4)
Si1 0.000 0.000 0.309 (multiplicity 4)
Si2 0.000 0.500 0.453 (multiplicity 4)
Au1 0.000 0.000 0.405 (multiplicity 4)

Largest 10 diffraction maxima, sorted by position, 2θ from 5° to 70°:
2θ = 14.14°, I = 26, hkl 0 0 4; 2θ = 28.43°, I = 23, hkl 1 0 5; 2θ = 30.74°, I = 23, hkl 1 1 0; 2θ = 33.47°, I = 35, hkl 1 0 7; 2θ = 33.98°, I = 100, hkl 1 1 4; 2θ = 43.09°, I = 22, hkl 0 2 0; 2θ = 44.95°, I = 19, hkl 2 0 0; 2θ = 45.29°, I = 23, hkl 0 1 11; 2θ = 55.63°, I = 16, hkl 1 2 7; 2θ = 65.72°, I = 15, hkl 2 1 11

***

(8)
This entry pairs a crystal structure of Y2Sn3Mo4N3 with its calculated PXRD pattern. Radiation: Cu Kα, 1.54184 Å. Structure: a cell relaxed with PBE.
Lines closer than 0.1° are merged.

Structural model:
a b c (Å): 9.975 5.799 13.968
angles (deg): 90.00 103.59 90.00
Space group C2/c (No. 15)
One atom of each set of equivalent atoms:
Y1 0.052 0.085 0.398 (multiplicity 8)
Sn1 0.000 0.489 0.250 (multiplicity 4)
Sn2 0.203 0.123 0.749 (multiplicity 8)
Mo1 0.107 0.426 0.572 (multiplicity 8)
Mo2 0.222 0.412 0.928 (multiplicity 8)
N1 0.083 0.250 0.000 (multiplicity 8)
N2 0.250 0.250 0.500 (multiplicity 4)

Largest 10 diffraction maxima, sorted by position, 2θ from 5° to 70°:
2θ = 30.84°, I = 10, hkl 0 2 0; 2θ = 31.00°, I = 21, hkl 3 1 -1; 2θ = 36.86°, I = 100, hkl 3 1 2; 2θ = 37.00°, I = 49, hkl 3 1 -4; 2θ = 39.83°, I = 27, hkl 0 0 6; 2θ = 51.23°, I = 13, hkl 3 1 5; 2θ = 51.39°, I = 6, hkl 3 1 -7; 2θ = 54.95°, I = 17, hkl 3 3 -1; 2θ = 55.26°, I = 8, hkl 6 0 -2; 2θ = 69.93°, I = 6, hkl 3 3 5

***

(9)
This entry pairs a crystal structure of DyYNi2As2 with its calculated PXRD pattern. Radiation: Cu Kα, 1.54184 Å. Structure: a cell relaxed with PBE.
Lines closer than 0.1° are merged.

Structural model:
a b c (Å): 4.0629 4.0629 15.3430
angles (deg): 90.00 90.00 120.00
Space group P6_3/mmc (No. 194)
One atom of each set of equivalent atoms:
Dy1 0.0000 0.0000 0.2500 (multiplicity 2)
Y1 0.0000 0.0000 0.0000 (multiplicity 2)
Ni1 0.3333 0.6667 0.1331 (multiplicity 4)
As1 0.3333 0.6667 0.6214 (multiplicity 4)

Largest 10 diffraction maxima, sorted by position, 2θ from 5° to 70°:
2θ = 11.53°, I = 8, hkl 0 0 2; 2θ = 25.31°, I = 8, hkl 1 0 0; 2θ = 27.90°, I = 5, hkl 1 0 2; 2θ = 34.59°, I = 100, hkl 1 0 4; 2θ = 43.76°, I = 2, hkl 1 0 6; 2θ = 44.60°, I = 45, hkl 1 1 0; 2θ = 47.40°, I = 12, hkl 0 0 8; 2θ = 54.49°, I = 2, hkl 1 0 8; 2θ = 57.64°, I = 22, hkl 2 0 4; 2θ = 67.12°, I = 25, hkl 1 1 8

***

(10)
This entry pairs a crystal structure of Rb2Zn5As4 with its calculated PXRD pattern. Radiation: Cu Kα, 1.54184 Å. Structure: a cell relaxed with PBE.
Lines closer than 0.1° are merged.

Structural model:
a b c (Å): 11.748 7.177 11.834
angles (deg): 90.00 90.00 90.00
Space group Cmcm (No. 63)
One atom of each set of equivalent atoms:
Rb1 0.217 0.000 0.000 (multiplicity 8)
Zn1 0.000 0.009 0.250 (multiplicity 4)
Zn2 0.000 0.346 0.609 (multiplicity 8)
Zn3 0.143 0.384 0.250 (multiplicity 8)
As1 0.000 0.280 0.100 (multiplicity 8)
As2 0.156 0.243 0.750 (multiplicity 8)

Largest 10 diffraction maxima, sorted by position, 2θ from 5° to 70°:
2θ = 29.14°, I = 51, hkl 2 2 0; 2θ = 30.07°, I = 100, hkl 3 1 2; 2θ = 32.93°, I = 100, hkl 2 2 2; 2θ = 33.93°, I = 75, hkl 2 0 4; 2θ = 34.08°, I = 51, hkl 4 0 2; 2θ = 38.40°, I = 38, hkl 1 3 0; 2θ = 45.03°, I = 79, hkl 3 3 1; 2θ = 46.37°, I = 24, hkl 6 0 0; 2θ = 50.65°, I = 49, hkl 4 2 4; 2θ = 51.26°, I = 28, hkl 5 1 4